[1]
Calculated X-ray diffraction stick pattern
Compound: P2Au3
Radiation: a wavelength of 1.5418 Å
Structure: a structure optimized by DFT (GGA-PBE)

Structural model:
Cell lengths 3.6777, 3.6777, 23.2315 Å; angles 90.00, 90.00, 120.00 degrees
Space group R-3m (No. 166, hexagonal axes)
Asymmetric unit:
P1 0.0000 0.0000 0.1004
Au1 0.0000 0.0000 0.2940
Au2 0.0000 0.0000 0.5000

Top 8 peaks for 5° ≤ 2θ ≤ 70°, sorted by position:
d [Å]	2θ/deg	I (rel.)
3.155	28.28	25
2.793	32.05	29
2.627	34.13	100
2.581	34.75	11
1.877	48.50	35
1.839	49.57	36
1.506	61.56	18
1.498	61.96	13


[2]
Calculated X-ray diffraction stick pattern
Compound: ZnSb2S6
Radiation: a wavelength of 1.5418 Å
Structure: a structure optimized by DFT (GGA-PBE)

Structural model:
Cell lengths 5.7298, 6.3006, 10.9879 Å; angles 90.00, 90.00, 90.00 degrees
Space group Pnnm (No. 58)
Asymmetric unit:
Zn1 0.0000 0.0000 0.0000
Sb1 0.0000 0.5000 0.1737
S1 0.2217 0.3198 0.3473
S2 0.2302 0.3202 0.0000

Top 8 peaks for 5° ≤ 2θ ≤ 70°, sorted by position:
d [Å]	2θ/deg	I (rel.)
5.081	17.46	98
4.239	20.96	69
3.356	26.56	100
3.166	28.18	49
2.677	33.47	43
2.124	42.55	94
2.120	42.66	57
1.822	50.07	46


[3]
Calculated X-ray diffraction stick pattern
Compound: ScFe4Au
Radiation: a wavelength of 1.5418 Å
Structure: a structure optimized by DFT (GGA-PBE)

Structural model:
Cell lengths 6.9459, 6.9459, 6.9459 Å; angles 90.00, 90.00, 90.00 degrees
Space group F-43m (No. 216)
Asymmetric unit:
Sc1 0.0000 0.0000 0.0000
Fe1 0.1259 0.1259 0.3741
Au1 0.2500 0.2500 0.7500

Top 8 peaks for 5° ≤ 2θ ≤ 70°, sorted by position:
d [Å]	2θ/deg	I (rel.)
4.010	22.17	26
3.473	25.65	25
2.456	36.59	50
2.094	43.20	100
2.005	45.22	24
1.593	57.87	7
1.553	59.52	10
1.418	65.88	18


[4]
Calculated X-ray diffraction stick pattern
Compound: Ba5B3ClO9
Radiation: a wavelength of 1.5418 Å
Structure: a structure optimized by DFT (GGA-PBE)

Structural model:
Cell lengths 10.5929, 15.1837, 7.9817 Å; angles 90.00, 90.00, 90.00 degrees
Space group C222_1 (No. 20)
Asymmetric unit:
Ba1 0.0000 0.1375 0.2500
Ba2 0.0000 0.1401 0.7500
Ba3 0.1347 0.3701 0.9421
Ba4 0.2387 0.5000 0.5000
B1 0.1266 0.0000 0.5000
B2 0.1952 0.2905 0.5308
Cl1 0.0000 0.4529 0.2500
O1 0.0062 0.0000 0.0000
O2 0.1216 0.3511 0.6174
O3 0.1440 0.2090 0.4874
O4 0.1786 0.1891 0.9911
O5 0.1900 0.0000 0.3472

Top 8 peaks for 5° ≤ 2θ ≤ 70°, sorted by position:
d [Å]	2θ/deg	I (rel.)
3.964	22.43	67
3.627	24.55	59
3.187	27.99	100
3.085	28.94	52
3.005	29.73	93
2.896	30.88	53
2.878	31.08	55
1.908	47.67	62


[5]
Calculated X-ray diffraction stick pattern
Compound: RbCuB2S4
Radiation: a wavelength of 1.5418 Å
Structure: a structure optimized by DFT (GGA-PBE)

Structural model:
Cell lengths 5.4783, 8.3261, 9.2298 Å; angles 90.00, 90.00, 90.00 degrees
Space group I222 (No. 23)
Asymmetric unit:
Rb1 0.0000 0.0000 0.0000
Cu1 0.0000 0.0000 0.5000
B1 0.0000 0.5000 0.1645
S1 0.2362 0.3700 0.8314

Top 8 peaks for 5° ≤ 2θ ≤ 70°, sorted by position:
d [Å]	2θ/deg	I (rel.)
4.577	19.40	53
4.163	21.34	36
3.250	27.45	100
3.120	28.61	37
3.091	28.88	28
2.355	38.21	26
2.182	41.39	27
2.060	43.94	28


[6]
Calculated X-ray diffraction stick pattern
Compound: CeEr6Tm5
Radiation: a wavelength of 1.5418 Å
Structure: a structure optimized by DFT (GGA-PBE)

Structural model:
Cell lengths 4.9531, 9.8907, 14.8742 Å; angles 90.00, 90.00, 90.00 degrees
Space group Immm (No. 71)
Asymmetric unit:
Ce1 0.0000 0.0000 0.0000
Er1 0.0000 0.2500 0.1655
Er2 0.0000 0.2509 0.5000
Tm1 0.0000 0.0000 0.3328
Tm2 0.0000 0.5000 0.0000
Tm3 0.0000 0.5000 0.3331

Top 6 peaks for 5° ≤ 2θ ≤ 70°, sorted by position:
d [Å]	2θ/deg	I (rel.)
2.859	31.28	100
2.476	36.28	51
1.751	52.25	36
1.494	62.14	28
1.492	62.24	14
1.430	65.27	12